Starting from a structure optimized by DFT (PBE), the X-ray diffraction stick pattern of HfTlAgTe2S was computed for a wavelength of 1.5418 Å.

Cell and atoms:
a b c (Å): 4.139 16.674 10.094
angles (deg): 90.00 90.00 90.00
Space group Cmcm (No. 63)
One atom of each set of equivalent atoms:
Hf (0.000, 0.000, 0.000)
Tl (0.000, 0.223, 0.250)
Ag (0.000, 0.442, 0.750)
Te (0.000, 0.372, 0.505)
S (0.000, 0.032, 0.750)

The 10 most intense peaks (2θ = 10–80°), low angle first:
h k l, 2θ (°), I_rel
0 2 1, 13.78, 295
0 2 2, 20.57, 359
0 4 2, 27.76, 220
1 3 1, 28.30, 545
1 3 2, 32.28, 1000
1 5 0, 34.54, 499
0 0 4, 35.57, 485
2 0 0, 43.74, 273
1 5 4, 50.42, 341
2 0 4, 57.60, 249